LiMnCl4: simulated powder X-ray diffraction pattern (a wavelength of 1.5418 Å), based on a DFT-relaxed cell (GGA-PBE, Alexandria).
Lines closer than 0.1° are merged.

Principal peaks in the range 10 to 80 degrees two-theta, most intense first:
2θ 13.81, rel. 100, (0 0 1)
2θ 31.36, rel. 50, (1 -1 1)
2θ 14.70, rel. 36, (0 1 0)
2θ 35.06, rel. 34, (1 1 -2)
2θ 35.84, rel. 33, (0 2 1)
2θ 17.62, rel. 22, (0 1 -1)
2θ 49.96, rel. 15, (1 -3 0)
2θ 29.62, rel. 14, (0 2 -1)
2θ 40.22, rel. 13, (1 -1 2)
2θ 24.50, rel. 12, (1 0 0)
2θ 49.63, rel. 12, (2 0 -1)
2θ 45.78, rel. 11, (0 2 -3)

Atomic structure:
```
LiMnCl4
1.0
3.697 0.000 0.000
-0.278 6.205 0.000
-1.107 -1.582 6.414
Li Mn Cl
1 1 4
Direct
0.000 0.000 0.000 Li
0.500 0.500 0.000 Mn
0.139 0.395 0.217 Cl
0.427 0.148 0.798 Cl
0.573 0.852 0.202 Cl
0.861 0.605 0.783 Cl
```